Diffraction record for Nd5SmAl2. The powder X-ray diffraction pattern is simulated, not measured: it uses the GGA-PBE geometry in Alexandria and Cu Kα (weighted mean of Kα1 and Kα2).
Intensities are scaled so that the largest is 100.

The 8 most intense peaks (2θ = 10–80°), sorted by position:
2θ = 23.0°, rel. 18
2θ = 25.9°, rel. 56
2θ = 29.1°, rel. 18
2θ = 32.7°, rel. 60
2θ = 32.8°, rel. 100
2θ = 47.0°, rel. 22
2θ = 56.8°, rel. 30
2θ = 58.6°, rel. 42

Structure:
```
Nd5SmAl2
1.0
5.455 0.000 0.000
-2.727 4.724 0.000
0.000 0.000 20.144
Nd Sm Al
10 2 4
Cartesian
0.000 0.000 3.116
0.000 0.000 6.957
0.000 0.000 13.188
0.000 0.000 17.029
0.000 3.149 1.130
0.000 3.149 5.036
0.000 3.149 8.942
2.727 1.575 11.202
2.727 1.575 15.108
2.727 1.575 19.015
0.000 3.149 15.108
2.727 1.575 5.036
0.000 3.149 12.078
0.000 3.149 18.139
2.727 1.575 2.006
2.727 1.575 8.066
```